Computed powder diffraction line list of V4CoH12C2N6O20 for Cu Kα (λ = 1.5418 Å), from a crystal structure in Alexandria, relaxed with PBE+U.
Peak positions follow from Bragg's law for the DFT cell and can differ from measured ones.

Atomic structure:
abc: 3.7662 8.5331 18.9739
angles: 95.83 91.45 102.69
Space group P-1 (No. 2)
One atom of each set of equivalent atoms:
V  0.1872  0.3865  0.4521 (multiplicity 2)
V  0.2814  0.5790  0.9463 (multiplicity 2)
Co  0.0000  0.0000  0.5000 (multiplicity 1)
H  0.0177  0.0472  0.7269 (multiplicity 2)
H  0.0982  0.9509  0.1518 (multiplicity 2)
H  0.1145  0.1341  0.3280 (multiplicity 2)
H  0.3916  0.1160  0.1192 (multiplicity 2)
H  0.4279  0.6359  0.8032 (multiplicity 2)
H  0.4379  0.3612  0.2849 (multiplicity 2)
C  0.2805  0.1446  0.2258 (multiplicity 2)
N  0.1136  0.0716  0.2794 (multiplicity 2)
N  0.2726  0.0604  0.1618 (multiplicity 2)
N  0.4622  0.2982  0.2373 (multiplicity 2)
O  0.0827  0.1751  0.4477 (multiplicity 2)
O  0.2013  0.4270  0.3701 (multiplicity 2)
O  0.2312  0.4547  0.0318 (multiplicity 2)
O  0.2379  0.4990  0.8609 (multiplicity 2)
O  0.2934  0.5823  0.5205 (multiplicity 2)
O  0.3431  0.2560  0.7118 (multiplicity 2)
O  0.3898  0.7792  0.9474 (multiplicity 2)
O  0.4214  0.7103  0.2340 (multiplicity 2)
O  0.4751  0.2295  0.8234 (multiplicity 2)
O  0.4814  0.0505  0.5310 (multiplicity 2)

Main lines, by angle (2θ = 10–80°):
(hkl)  Position (°2θ)  d (Å)  I_rel
0 1 0  10.7  8.274  60
0 1 1  12.1  7.288  79
0 1 -2  13.4  6.588  50
0 0 3  14.1  6.284  65
0 1 3  18.6  4.759  100
0 0 4  18.8  4.713  73
0 2 -2  22.5  3.951  53
0 2 -3  24.4  3.643  71
1 -1 2  26.0  3.422  48
0 1 5  27.0  3.296  43